Structure and simulated X-ray diffraction stick pattern of TbPr8Nd3 (a structure optimized by DFT (GGA-PBE); Cu Kα (λ = 1.5418 Å)).
Lines closer than 0.1° are merged.

Principal peaks in the range 15 to 90 degrees two-theta, most intense first:
Position (°2θ), I_rel
35.3, 100
28.3, 79
30.5, 72
23.5, 59
42.1, 54
25.1, 51
43.4, 49
54.7, 30
67.4, 29
32.2, 28

Structure:
```
TbPr8Nd3
1.0
-4.4631 4.4631 5.8649
4.4631 -4.4631 5.8649
4.4631 4.4631 -5.8649
Tb Pr Nd
1 8 3
Direct
0.0000 0.0000 0.0000 Tb
0.1245 0.1245 0.7524 Pr
0.2429 0.2429 0.4962 Pr
0.2533 0.7571 0.0000 Pr
0.3721 0.3721 0.2476 Pr
0.6279 0.8755 0.0000 Pr
0.7467 0.7467 0.5038 Pr
0.7571 0.2533 0.0000 Pr
0.8755 0.6279 0.0000 Pr
0.2500 0.7500 0.5000 Nd
0.5000 0.5000 0.0000 Nd
0.7500 0.2500 0.5000 Nd
```